Computed XRD peak list
Compound: Hg3As
Radiation: λ = 1.5418 Å (Cu Kα)
Structure: DFT lattice parameters and positions (GGA-PBE)
Intensities are scaled so that the largest is 100.

Peak list (10 most intense, 10° ≤ 2θ ≤ 90°, low angle first)
d 3.912, 2θ = 22.7°, I = 9
d 2.631, 2θ = 34.1°, I = 26
d 2.593, 2θ = 34.6°, I = 100
d 2.107, 2θ = 42.9°, I = 28
d 1.645, 2θ = 55.9°, I = 26
d 1.511, 2θ = 61.3°, I = 20
d 1.490, 2θ = 62.3°, I = 9
d 1.296, 2θ = 73.0°, I = 12
d 1.292, 2θ = 73.3°, I = 23
d 1.116, 2θ = 87.4°, I = 8

Atomic structure:
```
Hg3As
1.0
-2.1070 2.1070 5.2616
2.1070 -2.1070 5.2616
2.1070 2.1070 -5.2616
Hg As
3 1
Direct
0.0000 0.0000 0.0000
0.2500 0.7500 0.5000
0.7500 0.2500 0.5000
0.5000 0.5000 0.0000
```

***

Computed XRD peak list
Compound: EuMgZn2
Radiation: λ = 1.5418 Å (Cu Kα)
Structure: DFT lattice parameters and positions (GGA-PBE)
Intensities are scaled so that the largest is 100.

Peak list (10 most intense, 10° ≤ 2θ ≤ 90°, low angle first)
d 4.069, 2θ = 21.8°, I = 36
d 2.492, 2θ = 36.0°, I = 100
d 2.125, 2θ = 42.5°, I = 20
d 1.762, 2θ = 51.9°, I = 17
d 1.617, 2θ = 56.9°, I = 8
d 1.439, 2θ = 64.8°, I = 34
d 1.356, 2θ = 69.3°, I = 6
d 1.246, 2θ = 76.4°, I = 11
d 1.191, 2θ = 80.6°, I = 6
d 1.114, 2θ = 87.5°, I = 15

Atomic structure:
```
EuMgZn2
1.0
0.0000 3.5242 3.5242
3.5242 0.0000 3.5242
3.5242 3.5242 0.0000
Eu Mg Zn
1 1 2
Direct
0.0000 0.0000 0.0000
0.5000 0.5000 0.5000
0.2500 0.2500 0.2500
0.7500 0.7500 0.7500
```

***

Computed XRD peak list
Compound: CsMg6Fe
Radiation: λ = 1.5418 Å (Cu Kα)
Structure: DFT lattice parameters and positions (GGA-PBE)
Intensities are scaled so that the largest is 100.

Peak list (10 most intense, 10° ≤ 2θ ≤ 90°, low angle first)
d 5.759, 2θ = 15.4°, I = 59
d 4.920, 2θ = 18.0°, I = 34
d 4.323, 2θ = 20.5°, I = 33
d 4.281, 2θ = 20.7°, I = 100
d 3.741, 2θ = 23.8°, I = 48
d 3.331, 2θ = 26.8°, I = 46
d 3.229, 2θ = 27.6°, I = 93
d 3.017, 2θ = 29.6°, I = 39
d 2.485, 2θ = 36.1°, I = 60
d 2.460, 2θ = 36.5°, I = 36

Atomic structure:
```
CsMg6Fe
1.0
4.9199 0.0000 0.0000
0.0000 3.0370 9.0515
0.0000 -3.0370 9.0515
Cs Mg Fe
1 6 1
Direct
0.0000 0.0000 0.0000
0.0000 0.4811 0.9580
0.0000 0.9580 0.4811
0.5000 0.0887 0.5775
0.5000 0.1869 0.1869
0.5000 0.5775 0.0887
0.5000 0.6549 0.6549
0.0000 0.3354 0.3354
```

***

Computed XRD peak list
Compound: Pm2SiPd
Radiation: λ = 1.5418 Å (Cu Kα)
Structure: DFT lattice parameters and positions (GGA-PBE)
Intensities are scaled so that the largest is 100.

Peak list (10 most intense, 10° ≤ 2θ ≤ 90°, low angle first)
d 4.182, 2θ = 21.2°, I = 8
d 3.622, 2θ = 24.6°, I = 16
d 2.561, 2θ = 35.0°, I = 100
d 2.184, 2θ = 41.3°, I = 4
d 2.091, 2θ = 43.3°, I = 5
d 1.811, 2θ = 50.4°, I = 18
d 1.620, 2θ = 56.8°, I = 7
d 1.479, 2θ = 62.8°, I = 36
d 1.281, 2θ = 74.0°, I = 11
d 1.145, 2θ = 84.6°, I = 16

Atomic structure:
```
Pm2SiPd
1.0
0.0000 3.6219 3.6219
3.6219 0.0000 3.6219
3.6219 3.6219 0.0000
Pm Si Pd
2 1 1
Direct
0.2500 0.2500 0.2500
0.7500 0.7500 0.7500
0.0000 0.0000 0.0000
0.5000 0.5000 0.5000
```

***

Computed XRD peak list
Compound: Y3Tl
Radiation: λ = 1.5418 Å (Cu Kα)
Structure: DFT lattice parameters and positions (GGA-PBE)
Intensities are scaled so that the largest is 100.

Peak list (10 most intense, 10° ≤ 2θ ≤ 90°, low angle first)
d 4.125, 2θ = 21.5°, I = 14
d 2.994, 2θ = 29.8°, I = 23
d 2.846, 2θ = 31.4°, I = 27
d 2.649, 2θ = 33.8°, I = 100
d 2.062, 2θ = 43.9°, I = 16
d 1.728, 2θ = 53.0°, I = 18
d 1.602, 2θ = 57.5°, I = 22
d 1.477, 2θ = 62.9°, I = 22
d 1.448, 2θ = 64.4°, I = 15
d 1.110, 2θ = 88.0°, I = 13

Atomic structure:
```
Y3Tl
1.0
6.9135 0.0000 0.0000
-3.4568 5.9873 0.0000
0.0000 0.0000 5.6912
Y Tl
6 2
Direct
0.1701 0.3402 0.2500
0.1701 0.8299 0.2500
0.3402 0.1701 0.7500
0.6598 0.8299 0.2500
0.8299 0.1701 0.7500
0.8299 0.6598 0.7500
0.3333 0.6667 0.7500
0.6667 0.3333 0.2500
```

***

Computed XRD peak list
Compound: AuBrO2
Radiation: λ = 1.5418 Å (Cu Kα)
Structure: DFT lattice parameters and positions (GGA-PBE)
Intensities are scaled so that the largest is 100.

Peak list (10 most intense, 10° ≤ 2θ ≤ 90°, low angle first)
d 5.358, 2θ = 16.5°, I = 66
d 4.000, 2θ = 22.2°, I = 28
d 2.984, 2θ = 29.9°, I = 100
d 2.776, 2θ = 32.2°, I = 28
d 2.591, 2θ = 34.6°, I = 48
d 2.333, 2θ = 38.6°, I = 44
d 2.201, 2θ = 41.0°, I = 36
d 2.058, 2θ = 44.0°, I = 29
d 2.000, 2θ = 45.3°, I = 30
d 1.868, 2θ = 48.7°, I = 24

Atomic structure:
```
AuBrO2
1.0
2.4223 -10.7154 0.0000
2.4223 10.7154 0.0000
-0.3020 0.0000 3.6079
Au Br O
2 2 4
Direct
0.0000 0.5000 0.0000
0.5000 0.0000 0.5000
0.1546 0.8454 0.2500
0.8454 0.1546 0.7500
0.3413 0.4032 0.2357
0.4032 0.3413 0.7357
0.5968 0.6587 0.2643
0.6587 0.5968 0.7643
```